Starting from a structure optimized by DFT (PBE), the powder XRD pattern of Cs4RbAu3 was simulated for Cu Kα X-rays.
Lines closer than 0.1° are merged.

Main lines, most intense first (15° ≤ 2θ ≤ 90°):
2theta  I (rel.)
28.6  100
25.5  60
28.3  55
26.4  55
29.4  33
34.5  32
51.6  31
44.2  31
52.5  28
23.2  28

```
Cs4RbAu3
1.0
-7.0552 7.0552 3.8380
7.0552 -7.0552 3.8380
7.0552 7.0552 -3.8380
Cs Rb Au
8 2 6
Direct
0.0822 0.7899 0.8721
0.2101 0.0822 0.2923
0.2899 0.5822 0.8721
0.4178 0.2899 0.7077
0.5822 0.7101 0.2923
0.7101 0.4178 0.1279
0.7899 0.9178 0.7077
0.9178 0.2101 0.1279
0.2500 0.7500 0.5000
0.7500 0.2500 0.5000
0.1545 0.3455 0.5000
0.2500 0.2500 0.0000
0.3455 0.8455 0.1909
0.6545 0.1545 0.8091
0.7500 0.7500 0.0000
0.8455 0.6545 0.5000
```